No. 1
The following is a theoretical X-ray diffraction stick pattern of MgFe2Cu2S4. It was derived from a structure optimized by DFT (PBE), using λ = 1.5418 Å (Cu Kα).
No peak broadening, texture or thermal motion is included.

Structure:
Unit cell a=6.613 b=6.613 c=5.440 alpha=114.15 beta=114.15 gamma=108.88
Fractional coordinates of all 9 atoms:
Mg: 0.000 0.000 0.000
Fe: 0.742 0.258 0.000
Fe: 0.991 0.009 0.500
Cu: 0.249 0.751 0.000
Cu: 0.490 0.510 0.500
S: 0.109 0.381 0.989
S: 0.374 0.134 0.521
S: 0.619 0.891 0.011
S: 0.866 0.626 0.479

Main lines, most intense first (10° ≤ 2θ ≤ 90°):
2theta	d_spacing	I (rel.)
28.4	3.140	100
28.5	3.128	99
47.4	1.917	54
47.5	1.912	53
47.0	1.933	28
47.3	1.923	27


No. 2
The following is a theoretical X-ray diffraction stick pattern of Mn2Fe3Cu10Sn5S20. It was derived from a structure optimized by DFT (PBE), using λ = 1.5418 Å (Cu Kα).
No peak broadening, texture or thermal motion is included.

Structure:
Unit cell a=15.138 b=15.138 c=15.138 alpha=158.96 beta=137.81 gamma=47.60
Fractional coordinates of all 40 atoms:
Mn: 0.200 0.200 0.000
Mn: 0.800 0.800 0.000
Fe: 0.000 0.000 0.000
Fe: 0.400 0.400 0.000
Fe: 0.600 0.600 0.000
Cu: 0.052 0.303 0.754
Cu: 0.153 0.899 0.251
Cu: 0.251 0.500 0.751
Cu: 0.352 0.101 0.253
Cu: 0.451 0.697 0.749
Cu: 0.549 0.298 0.246
Cu: 0.648 0.902 0.749
Cu: 0.749 0.500 0.249
Cu: 0.847 0.098 0.747
Cu: 0.948 0.702 0.251
Sn: 0.099 0.599 0.500
Sn: 0.301 0.801 0.500
Sn: 0.500 0.000 0.500
Sn: 0.699 0.199 0.500
Sn: 0.901 0.401 0.500
S: 0.016 0.394 0.108
S: 0.086 0.720 0.899
S: 0.113 0.006 0.622
S: 0.179 0.280 0.365
S: 0.222 0.587 0.102
S: 0.286 0.908 0.892
S: 0.315 0.214 0.635
S: 0.384 0.491 0.378
S: 0.421 0.786 0.100
S: 0.485 0.120 0.898
S: 0.515 0.413 0.635
S: 0.579 0.679 0.365
S: 0.616 0.994 0.108
S: 0.685 0.321 0.900
S: 0.714 0.606 0.622
S: 0.778 0.880 0.365
S: 0.821 0.187 0.101
S: 0.887 0.509 0.892
S: 0.914 0.813 0.635
S: 0.984 0.092 0.378

Main lines, most intense first (10° ≤ 2θ ≤ 90°):
2theta	d_spacing	I (rel.)
28.1	3.178	100
46.4	1.957	20
46.8	1.942	20
46.8	1.940	19
55.1	1.668	14
55.2	1.665	14


No. 3
The following is a theoretical X-ray diffraction stick pattern of Fe10CuN8. It was derived from a structure optimized by DFT (PBE), using λ = 1.5418 Å (Cu Kα).
No peak broadening, texture or thermal motion is included.

Structure:
Unit cell a=8.728 b=8.728 c=6.041 alpha=109.43 beta=109.43 gamma=24.93
Fractional coordinates of all 19 atoms:
Fe: 0.020 0.020 0.296
Fe: 0.180 0.180 0.648
Fe: 0.199 0.199 0.092
Fe: 0.345 0.345 0.686
Fe: 0.419 0.419 0.325
Fe: 0.581 0.581 0.675
Fe: 0.655 0.655 0.314
Fe: 0.801 0.801 0.908
Fe: 0.820 0.820 0.352
Fe: 0.980 0.980 0.704
Cu: 0.500 0.500 0.000
N: 0.105 0.105 0.802
N: 0.143 0.143 0.322
N: 0.278 0.278 0.885
N: 0.464 0.464 0.673
N: 0.536 0.536 0.327
N: 0.722 0.722 0.115
N: 0.857 0.857 0.678
N: 0.895 0.895 0.198

Main lines, most intense first (10° ≤ 2θ ≤ 90°):
2theta	d_spacing	I (rel.)
38.7	2.328	100
48.3	1.884	97
42.1	2.147	72
31.4	2.845	66
44.0	2.058	54
36.8	2.441	49


No. 4
The following is a theoretical X-ray diffraction stick pattern of Fe2CuNiPt4. It was derived from a structure optimized by DFT (PBE), using λ = 1.5418 Å (Cu Kα).
No peak broadening, texture or thermal motion is included.

Structure:
Unit cell a=2.720 b=2.720 c=14.887 alpha=90.00 beta=90.00 gamma=90.00
Fractional coordinates of all 8 atoms:
Fe: 0.000 0.000 0.000
Fe: 0.000 0.000 0.252
Cu: 0.000 0.000 0.503
Ni: 0.000 0.000 0.750
Pt: 0.500 0.500 0.126
Pt: 0.500 0.500 0.375
Pt: 0.500 0.500 0.629
Pt: 0.500 0.500 0.875

Main lines, most intense first (10° ≤ 2θ ≤ 90°):
2theta	d_spacing	I (rel.)
41.1	2.196	100
47.3	1.923	33
83.6	1.156	25
23.9	3.722	25
32.9	2.720	23
70.4	1.337	20


No. 5
The following is a theoretical X-ray diffraction stick pattern of FeCuPt2. It was derived from a structure optimized by DFT (PBE), using λ = 1.5418 Å (Cu Kα).
No peak broadening, texture or thermal motion is included.

Structure:
Unit cell a=2.711 b=2.711 c=7.334 alpha=90.00 beta=90.00 gamma=90.00
Fractional coordinates of all 4 atoms:
Fe: 0.000 0.000 0.000
Cu: 0.000 0.000 0.500
Pt: 0.500 0.500 0.239
Pt: 0.500 0.500 0.761

Main lines, most intense first (10° ≤ 2θ ≤ 90°):
2theta	d_spacing	I (rel.)
41.4	2.180	100
47.4	1.917	34
84.1	1.151	26
24.3	3.667	24
33.0	2.711	23
71.2	1.325	19


No. 6
The following is a theoretical X-ray diffraction stick pattern of FeCuPt2. It was derived from a structure optimized by DFT (PBE), using λ = 1.5418 Å (Cu Kα).
No peak broadening, texture or thermal motion is included.

Structure:
Unit cell a=3.963 b=3.963 c=3.587 alpha=90.00 beta=90.00 gamma=90.00
Fractional coordinates of all 4 atoms:
Fe: 0.000 0.000 0.000
Cu: 0.500 0.500 0.000
Pt: 0.000 0.500 0.500
Pt: 0.500 0.000 0.500

Main lines, most intense first (10° ≤ 2θ ≤ 90°):
2theta	d_spacing	I (rel.)
40.9	2.208	100
45.8	1.981	36
81.3	1.183	27
31.9	2.802	24
24.8	3.587	22
70.9	1.330	19


No. 7
The following is a theoretical X-ray diffraction stick pattern of FeCuRh4S8. It was derived from a structure optimized by DFT (PBE), using λ = 1.5418 Å (Cu Kα).
No peak broadening, texture or thermal motion is included.

Structure:
Unit cell a=6.900 b=6.900 c=6.900 alpha=60.00 beta=60.00 gamma=60.00
Fractional coordinates of all 14 atoms:
Fe: 0.000 0.000 0.000
Cu: 0.750 0.750 0.750
Rh: 0.374 0.374 0.374
Rh: 0.374 0.374 0.879
Rh: 0.374 0.879 0.374
Rh: 0.879 0.374 0.374
S: 0.126 0.126 0.126
S: 0.126 0.126 0.621
S: 0.126 0.621 0.126
S: 0.152 0.616 0.616
S: 0.616 0.152 0.616
S: 0.616 0.616 0.152
S: 0.616 0.616 0.616
S: 0.621 0.126 0.126

Main lines, most intense first (10° ≤ 2θ ≤ 90°):
2theta	d_spacing	I (rel.)
30.4	2.942	100
53.1	1.725	71
36.8	2.439	51
48.5	1.878	40
15.7	5.634	34
74.7	1.270	19


No. 8
The following is a theoretical X-ray diffraction stick pattern of FeCuRh4Se8. It was derived from a structure optimized by DFT (PBE), using λ = 1.5418 Å (Cu Kα).
No peak broadening, texture or thermal motion is included.

Structure:
Unit cell a=7.361 b=7.361 c=7.361 alpha=60.00 beta=60.00 gamma=60.00
Fractional coordinates of all 14 atoms:
Fe: 0.000 0.000 0.000
Cu: 0.750 0.750 0.750
Rh: 0.376 0.376 0.376
Rh: 0.376 0.376 0.872
Rh: 0.376 0.872 0.376
Rh: 0.872 0.376 0.376
Se: 0.133 0.133 0.133
Se: 0.133 0.133 0.601
Se: 0.133 0.601 0.133
Se: 0.157 0.614 0.614
Se: 0.601 0.133 0.133
Se: 0.614 0.157 0.614
Se: 0.614 0.614 0.157
Se: 0.614 0.614 0.614

Main lines, most intense first (10° ≤ 2θ ≤ 90°):
2theta	d_spacing	I (rel.)
49.5	1.840	100
34.5	2.602	90
28.4	3.139	58
45.3	2.003	38
14.7	6.010	37
83.0	1.164	24


No. 9
The following is a theoretical X-ray diffraction stick pattern of FeCu3S8. It was derived from a structure optimized by DFT (PBE), using λ = 1.5418 Å (Cu Kα).
No peak broadening, texture or thermal motion is included.

Structure:
Unit cell a=5.697 b=5.697 c=5.697 alpha=89.50 beta=89.50 gamma=89.50
Fractional coordinates of all 12 atoms:
Fe: 0.000 0.000 0.000
Cu: 0.000 0.500 0.500
Cu: 0.500 0.000 0.500
Cu: 0.500 0.500 0.000
S: 0.098 0.621 0.902
S: 0.098 0.902 0.379
S: 0.379 0.098 0.902
S: 0.398 0.398 0.398
S: 0.602 0.602 0.602
S: 0.621 0.902 0.098
S: 0.902 0.098 0.621
S: 0.902 0.379 0.098

Main lines, most intense first (10° ≤ 2θ ≤ 90°):
2theta	d_spacing	I (rel.)
31.4	2.848	100
53.4	1.716	39
44.8	2.023	25
45.2	2.005	25
53.0	1.727	22
27.2	3.279	22


No. 10
The following is a theoretical X-ray diffraction stick pattern of Fe4Cu2S7. It was derived from a structure optimized by DFT (PBE), using λ = 1.5418 Å (Cu Kα).
No peak broadening, texture or thermal motion is included.

Structure:
Unit cell a=5.120 b=8.276 c=11.708 alpha=90.00 beta=90.00 gamma=90.00
Fractional coordinates of all 26 atoms:
Fe: 0.000 0.153 0.228
Fe: 0.000 0.153 0.772
Fe: 0.000 0.847 0.228
Fe: 0.000 0.847 0.772
Fe: 0.500 0.153 0.228
Fe: 0.500 0.153 0.772
Fe: 0.500 0.847 0.228
Fe: 0.500 0.847 0.772
Cu: 0.011 0.500 0.273
Cu: 0.489 0.500 0.273
Cu: 0.511 0.500 0.727
Cu: 0.989 0.500 0.727
S: 0.250 0.000 0.332
S: 0.250 0.000 0.879
S: 0.250 0.285 0.662
S: 0.250 0.309 0.134
S: 0.250 0.500 0.445
S: 0.250 0.691 0.134
S: 0.250 0.715 0.662
S: 0.750 0.000 0.121
S: 0.750 0.000 0.668
S: 0.750 0.285 0.338
S: 0.750 0.309 0.866
S: 0.750 0.500 0.555
S: 0.750 0.691 0.866
S: 0.750 0.715 0.338

Main lines, most intense first (10° ≤ 2θ ≤ 90°):
2theta	d_spacing	I (rel.)
15.1	5.854	100
51.1	1.787	19
31.7	2.820	15
45.2	2.008	15
48.5	1.877	15
47.2	1.927	14


No. 11
The following is a theoretical X-ray diffraction stick pattern of FeCu3S8. It was derived from a structure optimized by DFT (PBE), using λ = 1.5418 Å (Cu Kα).
No peak broadening, texture or thermal motion is included.

Structure:
Unit cell a=5.692 b=5.701 c=12.791 alpha=90.00 beta=115.94 gamma=90.00
Fractional coordinates of all 24 atoms:
Fe: 0.000 0.000 0.000
Fe: 0.000 0.500 0.500
Cu: 0.251 0.003 0.749
Cu: 0.251 0.497 0.249
Cu: 0.500 0.000 0.500
Cu: 0.500 0.500 0.000
Cu: 0.749 0.503 0.751
Cu: 0.749 0.997 0.251
S: 0.050 0.621 0.951
S: 0.050 0.879 0.451
S: 0.091 0.596 0.689
S: 0.091 0.904 0.189
S: 0.401 0.103 0.300
S: 0.401 0.397 0.800
S: 0.428 0.097 0.049
S: 0.428 0.403 0.549
S: 0.572 0.597 0.451
S: 0.572 0.903 0.951
S: 0.599 0.603 0.200
S: 0.599 0.897 0.700
S: 0.909 0.096 0.811
S: 0.909 0.404 0.311
S: 0.950 0.121 0.549
S: 0.950 0.379 0.049

Main lines, most intense first (10° ≤ 2θ ≤ 90°):
2theta	d_spacing	I (rel.)
31.4	2.848	100
31.1	2.876	52
53.2	1.722	43
45.0	2.014	38
44.8	2.024	26
35.2	2.546	25